For CoSb2Br2O3, the GGA+U geometry in OQMD gives the simulated XRD peak list in this record (copper Kα).
Intensities are scaled so that the largest is 1000.

Structural model:
```
16
Lattice="5.313 0.000 0.000 1.267 7.692 0.000 1.170 0.019 7.964" Properties=species:S:1:pos:R:3 pbc="T T T"
Co 1.065 3.724 2.315
Co 6.685 3.987 5.649
Sb 4.142 5.430 7.759
Sb 3.817 5.493 4.192
Sb 3.933 2.218 3.772
Sb 3.608 2.281 0.205
Br 1.991 1.576 6.240
Br 1.832 0.972 2.387
Br 5.917 6.739 5.577
Br 5.758 6.135 1.724
O 2.570 3.769 3.758
O 3.155 4.961 6.053
O 2.217 3.715 0.685
O 5.533 3.996 7.279
O 4.595 2.750 1.911
O 5.180 3.942 4.206
```

Principal peaks in the range 10° ≤ 2θ ≤ 80°, low angle first:
| Position (°2θ) | intensity | hkl |
| --- | --- | --- |
| 11.50 | 513 | 0 1 0 |
| 17.09 | 271 | 1 0 0 |
| 23.13 | 414 | 0 2 0 |
| 26.19 | 407 | 1 0 2 |
| 27.50 | 1000 | 1 1 2 |
| 30.18 | 862 | 1 0 -2 |
| 31.09 | 860 | 1 -2 0 |
| 31.38 | 315 | 1 1 -2 |
| 34.67 | 652 | 2 1 0 |
| 36.54 | 639 | 1 3 0 |
| 41.90 | 401 | 0 3 2 |
| 45.57 | 398 | 0 0 4 |